Entry 1:
This entry pairs a crystal structure of DyTlGa2Cl6 with its simulated PXRD pattern. Radiation: Cu Kα (λ = 1.5418 Å). Structure: a structure optimized by DFT (GGA-PBE).
Intensities are scaled so that the largest is 100.

```
DyTlGa2Cl6
1.0
7.5357 0.0000 0.0000
3.7661 6.5399 0.0000
3.7655 2.1744 6.6542
Dy Tl Ga Cl
1 1 2 6
direct
0.0000 0.0000 0.0000
0.5122 0.5118 0.4645
0.3126 0.3117 0.0637
0.8045 0.8043 0.5876
0.0930 0.7583 0.7949
0.1778 0.6320 0.2601
0.3540 0.0932 0.7958
0.6310 0.9304 0.2595
0.7579 0.3538 0.7959
0.9303 0.1776 0.2607
```

Peak list (12 most intense, 2θ = 10–90°, by angle)
d [Å]  two_theta  I (rel.)  index
5.466  16.22  100  1 1 0
3.966  22.42  91  1 1 2
3.772  23.59  85  2 1 1
3.281  27.18  24  2 1 2
2.733  32.77  46  2 2 0
2.495  35.99  93  1 2 3
2.397  37.52  19  3 2 1
2.215  40.74  22  1 -2 1
2.212  40.80  27  2 3 3
2.178  41.47  50  3 3 2
1.703  53.82  28  2 0 4
1.641  56.04  19  -2 2 2


Entry 2:
This entry pairs a crystal structure of KDyGeCl6 with its simulated PXRD pattern. Radiation: Cu Kα (λ = 1.5418 Å). Structure: a structure optimized by DFT (GGA-PBE).
Intensities are scaled so that the largest is 100.

```
KDyGeCl6
1.0
6.9824 0.0000 0.0000
-3.4912 6.0470 0.0000
0.0000 0.0000 13.7773
K Dy Ge Cl
2 2 2 12
direct
0.0000 0.0000 0.0000
0.0000 0.0000 0.5000
0.3333 0.6667 0.2500
0.6667 0.3333 0.7500
0.3333 0.6667 0.7500
0.6667 0.3333 0.2500
0.0041 0.3721 0.1407
0.0041 0.6320 0.3593
0.3680 0.3721 0.3593
0.3680 0.9959 0.1407
0.3721 0.0041 0.6407
0.3721 0.3680 0.8593
0.6279 0.6320 0.1407
0.6279 0.9959 0.3593
0.6320 0.0041 0.8593
0.6320 0.6279 0.6407
0.9959 0.3680 0.6407
0.9959 0.6279 0.8593
```

Peak list (12 most intense, 2θ = 10–90°, by angle)
d [Å]  two_theta  I (rel.)  index
6.889  12.85  85  0 0 2
6.047  14.65  36  1 0 0
5.537  16.01  31  1 0 1
4.544  19.53  97  1 0 2
3.491  25.51  26  1 1 0
3.114  28.67  84  1 1 2
2.769  32.34  21  2 0 2
2.452  36.65  100  1 1 4
2.169  41.63  28  2 1 2
2.016  44.97  40  3 0 0
1.918  47.39  28  2 -1 6
1.557  59.35  20  4 -2 4